Record 1
# CaSiPb2
Simulated powder diffraction line list, Cu Kα X-rays. Input: a DFT-relaxed cell (GGA-PBE, Alexandria).
Neutral-atom scattering factors, no anomalous dispersion.

Principal peaks in the range 2θ = 10–90°, in order of falling intensity:
2θ/deg, intensity, index
32.6, 1000, 0 1 2
32.3, 654, 1 0 -2
23.2, 490, 0 1 1
13.0, 466, 0 0 1
31.5, 243, 1 0 1
51.5, 217, 2 0 -1
38.9, 201, 0 2 0
41.1, 160, 1 0 2
56.8, 152, 1 1 3
66.3, 152, 2 2 -1

Atomic structure:
```
data_CaSiPb2
_cell_length_a 3.550
_cell_length_b 4.636
_cell_length_c 7.013
_cell_angle_alpha 90.00
_cell_angle_beta 103.12
_cell_angle_gamma 90.00
_symmetry_space_group_name_H-M 'P 1 m 1'
_symmetry_Int_Tables_number 6
loop_
_symmetry_equiv_pos_as_xyz
'x,y,z'
'x,-y,z'
loop_
_atom_site_label
_atom_site_type_symbol
_atom_site_fract_x
_atom_site_fract_y
_atom_site_fract_z
Ca1 Ca 0.000 0.000 0.000
Si1 Si 0.438 0.500 0.864
Pb1 Pb 0.275 0.000 0.559
Pb2 Pb 0.636 0.500 0.289
```

Record 2
# Ca3SiPb2
Simulated powder diffraction line list, Cu Kα X-rays. Input: a DFT-relaxed cell (GGA-PBE, Alexandria).
Neutral-atom scattering factors, no anomalous dispersion.

Principal peaks in the range 2θ = 10–90°, in order of falling intensity:
2θ/deg, intensity, index
22.0, 1000, 1 0 3
19.7, 926, 2 0 2
35.4, 712, 4 1 1
40.8, 699, 0 2 0
41.3, 687, 3 0 5
25.5, 642, 1 1 2
30.0, 579, 1 1 3
37.5, 577, 4 1 2
22.4, 503, 1 1 1
59.4, 478, 3 2 5

Atomic structure:
```
data_Ca3SiPb2
_cell_length_a 12.735
_cell_length_b 4.426
_cell_length_c 12.766
_cell_angle_alpha 90.00
_cell_angle_beta 90.00
_cell_angle_gamma 90.00
_symmetry_space_group_name_H-M 'P n m a'
_symmetry_Int_Tables_number 62
loop_
_symmetry_equiv_pos_as_xyz
'x,y,z'
'-x,-y,-z'
'-x+1/2,-y,z+1/2'
'x+1/2,y,-z+1/2'
'x+1/2,-y+1/2,-z+1/2'
'-x+1/2,y+1/2,z+1/2'
'-x,y+1/2,-z'
'x,-y+1/2,z'
loop_
_atom_site_label
_atom_site_type_symbol
_atom_site_fract_x
_atom_site_fract_y
_atom_site_fract_z
Ca1 Ca 0.062 0.250 0.122
Ca2 Ca 0.115 0.750 0.541
Ca3 Ca 0.228 0.250 0.778
Si1 Si 0.135 0.250 0.356
Pb1 Pb 0.006 0.750 0.308
Pb2 Pb 0.191 0.750 0.990
```

Record 3
# Ca6Sn3Pb
Simulated powder diffraction line list, Cu Kα X-rays. Input: a DFT-relaxed cell (GGA-PBE, Alexandria).
Neutral-atom scattering factors, no anomalous dispersion.

Principal peaks in the range 2θ = 10–90°, in order of falling intensity:
2θ/deg, intensity, index
33.3, 1000, 3 0 1
33.7, 869, 0 0 2
23.7, 771, 1 2 1
33.9, 608, 1 4 1
28.3, 308, 1 3 1
60.1, 280, 3 0 3
11.7, 278, 1 1 0
26.6, 263, 0 3 1
60.7, 253, 1 8 1
48.5, 240, 2 4 2

Atomic structure:
```
data_Ca6Sn3Pb
_cell_length_a 9.344
_cell_length_b 12.917
_cell_length_c 5.313
_cell_angle_alpha 90.00
_cell_angle_beta 90.00
_cell_angle_gamma 90.00
_symmetry_space_group_name_H-M 'P n n m'
_symmetry_Int_Tables_number 58
loop_
_symmetry_equiv_pos_as_xyz
'x,y,z'
'-x,-y,-z'
'-x,-y,z'
'x,y,-z'
'x+1/2,-y+1/2,-z+1/2'
'-x+1/2,y+1/2,z+1/2'
'-x+1/2,y+1/2,-z+1/2'
'x+1/2,-y+1/2,z+1/2'
loop_
_atom_site_label
_atom_site_type_symbol
_atom_site_fract_x
_atom_site_fract_y
_atom_site_fract_z
Ca1 Ca 0.020 0.247 0.000
Ca2 Ca 0.161 0.090 0.500
Ca3 Ca 0.185 0.410 0.500
Sn1 Sn 0.000 0.000 0.000
Sn2 Sn 0.142 0.692 0.500
Pb1 Pb 0.000 0.500 0.000
```

Record 4
# Ca5Sn2Pb2
Simulated powder diffraction line list, Cu Kα X-rays. Input: a DFT-relaxed cell (GGA-PBE, Alexandria).
Neutral-atom scattering factors, no anomalous dispersion.

Principal peaks in the range 2θ = 10–90°, in order of falling intensity:
2θ/deg, intensity, index
21.8, 1000, 0 2 0
30.1, 852, 4 2 0
31.1, 635, 0 2 2
20.5, 585, 4 0 0
39.7, 569, 7 1 1
30.2, 549, 4 0 2
32.8, 487, 2 2 2
24.1, 473, 2 2 0
24.2, 471, 2 0 2
29.0, 387, 3 1 2

Atomic structure:
```
data_Ca5Sn2Pb2
_cell_length_a 17.314
_cell_length_b 8.169
_cell_length_c 8.115
_cell_angle_alpha 90.00
_cell_angle_beta 90.00
_cell_angle_gamma 90.00
_symmetry_space_group_name_H-M 'C m c e'
_symmetry_Int_Tables_number 64
_symmetry_space_group_name_Hall '-C 2ac 2'
loop_
_atom_site_label
_atom_site_type_symbol
_atom_site_fract_x
_atom_site_fract_y
_atom_site_fract_z
Ca1 Ca 0.000 0.000 0.000
Ca2 Ca 0.131 0.179 0.321
Sn1 Sn 0.000 0.124 0.625
Pb1 Pb 0.223 0.000 0.000
```

Record 5
# Ca2SnPb2
Simulated powder diffraction line list, Cu Kα X-rays. Input: a DFT-relaxed cell (GGA-PBE, Alexandria).
Neutral-atom scattering factors, no anomalous dispersion.

Principal peaks in the range 2θ = 10–90°, in order of falling intensity:
2θ/deg, intensity, index
32.8, 1000, 1 2 3
17.8, 570, 0 2 0
27.3, 428, 1 0 3
68.7, 269, 3 2 3
45.7, 225, 1 4 3
36.0, 212, 0 4 0
37.5, 160, 0 0 6
62.6, 157, 1 6 3
55.2, 150, 2 4 0
41.8, 149, 0 2 6

Atomic structure:
```
data_Ca2SnPb2
_cell_length_a 4.463
_cell_length_b 9.990
_cell_length_c 14.375
_cell_angle_alpha 90.00
_cell_angle_beta 90.00
_cell_angle_gamma 90.00
_symmetry_space_group_name_H-M 'I m m a'
_symmetry_Int_Tables_number 74
_symmetry_space_group_name_Hall '-I 2b 2'
loop_
_atom_site_label
_atom_site_type_symbol
_atom_site_fract_x
_atom_site_fract_y
_atom_site_fract_z
Ca1 Ca 0.000 0.003 0.147
Sn1 Sn 0.000 0.250 0.324
Pb1 Pb 0.000 0.250 0.002
Pb2 Pb 0.000 0.250 0.671
```

Record 6
# Ca4Sn12Pb
Simulated powder diffraction line list, Cu Kα X-rays. Input: a DFT-relaxed cell (GGA-PBE, Alexandria).
Neutral-atom scattering factors, no anomalous dispersion.

Principal peaks in the range 2θ = 10–90°, in order of falling intensity:
2θ/deg, intensity, index
31.0, 1000, 2 2 2
35.9, 874, 4 0 0
17.7, 651, 2 0 0
33.5, 546, 3 2 1
42.4, 459, 3 3 2
51.7, 448, 4 4 0
63.1, 314, 6 3 1
38.2, 306, 3 3 0
28.2, 290, 3 1 0
69.0, 287, 6 3 3

Atomic structure:
```
data_Ca4Sn12Pb
_cell_length_a 9.998
_cell_length_b 9.998
_cell_length_c 9.998
_cell_angle_alpha 90.00
_cell_angle_beta 90.00
_cell_angle_gamma 90.00
_symmetry_space_group_name_H-M 'I m -3 m'
_symmetry_Int_Tables_number 229
_symmetry_space_group_name_Hall '-I 4 2 3'
loop_
_atom_site_label
_atom_site_type_symbol
_atom_site_fract_x
_atom_site_fract_y
_atom_site_fract_z
Ca1 Ca 0.250 0.250 0.250
Sn1 Sn 0.000 0.000 0.312
Sn2 Sn 0.000 0.250 0.500
Pb1 Pb 0.000 0.000 0.000
```

Record 7
# Ca6SnPb2
Simulated powder diffraction line list, Cu Kα X-rays. Input: a DFT-relaxed cell (GGA-PBE, Alexandria).
Neutral-atom scattering factors, no anomalous dispersion.

Principal peaks in the range 2θ = 10–90°, in order of falling intensity:
2θ/deg, intensity, index
31.5, 1000, 1 3 1
20.4, 620, 1 1 1
30.3, 541, 3 0 1
23.7, 342, 2 2 0
16.7, 325, 0 2 0
33.6, 281, 0 0 2
33.7, 199, 0 4 0
41.5, 173, 2 2 2
58.7, 169, 1 3 3
39.7, 168, 3 3 1

Atomic structure:
```
data_Ca6SnPb2
_cell_length_a 10.616
_cell_length_b 10.644
_cell_length_c 5.338
_cell_angle_alpha 90.00
_cell_angle_beta 90.00
_cell_angle_gamma 90.00
_symmetry_space_group_name_H-M 'P n n m'
_symmetry_Int_Tables_number 58
loop_
_symmetry_equiv_pos_as_xyz
'x,y,z'
'-x,-y,-z'
'-x,-y,z'
'x,y,-z'
'x+1/2,-y+1/2,-z+1/2'
'-x+1/2,y+1/2,z+1/2'
'-x+1/2,y+1/2,-z+1/2'
'x+1/2,-y+1/2,z+1/2'
loop_
_atom_site_label
_atom_site_type_symbol
_atom_site_fract_x
_atom_site_fract_y
_atom_site_fract_z
Ca1 Ca 0.044 0.197 0.000
Ca2 Ca 0.115 0.614 0.500
Ca3 Ca 0.197 0.954 0.500
Sn1 Sn 0.000 0.500 0.000
Pb1 Pb 0.233 0.266 0.500
```

Record 8
# Ca4SnPb5
Simulated powder diffraction line list, Cu Kα X-rays. Input: a DFT-relaxed cell (GGA-PBE, Alexandria).
Neutral-atom scattering factors, no anomalous dispersion.

Principal peaks in the range 2θ = 10–90°, in order of falling intensity:
2θ/deg, intensity, index
32.0, 1000, 0 2 0
32.2, 1000, 5 1 0
32.5, 951, 3 1 -2
22.5, 433, 1 1 1
45.9, 370, 2 2 2
57.5, 274, 1 1 -4
23.0, 216, 4 0 -1
57.2, 198, 5 3 0
56.9, 195, 7 1 2
57.4, 191, 3 3 -2

Atomic structure:
```
data_Ca4SnPb5
_cell_length_a 16.533
_cell_length_b 5.591
_cell_length_c 6.766
_cell_angle_alpha 90.00
_cell_angle_beta 104.28
_cell_angle_gamma 90.00
_symmetry_space_group_name_H-M 'C 1 2/m 1'
_symmetry_Int_Tables_number 12
loop_
_symmetry_equiv_pos_as_xyz
'x,y,z'
'-x,-y,-z'
'-x,y,-z'
'x,-y,z'
'x+1/2,y+1/2,z'
'-x+1/2,-y+1/2,-z'
'-x+1/2,y+1/2,-z'
'x+1/2,-y+1/2,z'
loop_
_atom_site_label
_atom_site_type_symbol
_atom_site_fract_x
_atom_site_fract_y
_atom_site_fract_z
Ca1 Ca 0.091 0.000 0.375
Ca2 Ca 0.195 0.500 0.791
Sn1 Sn 0.000 0.500 0.500
Pb1 Pb 0.000 0.500 0.000
Pb2 Pb 0.106 0.000 0.894
Pb3 Pb 0.204 0.500 0.300
```

Record 9
# Ca2SnPb4
Simulated powder diffraction line list, Cu Kα X-rays. Input: a DFT-relaxed cell (GGA-PBE, Alexandria).
Neutral-atom scattering factors, no anomalous dispersion.

Principal peaks in the range 2θ = 10–90°, in order of falling intensity:
2θ/deg, intensity, index
32.2, 1000, 2 2 0
32.3, 991, 2 2 -2
17.5, 741, 0 0 1
26.8, 554, 2 2 -1
35.4, 389, 0 0 2
53.2, 368, 0 4 2
38.2, 317, 4 0 -2
38.4, 311, 0 4 0
65.6, 264, 2 6 0
87.5, 226, 2 6 2

Atomic structure:
```
data_Ca2SnPb4
_cell_length_a 9.429
_cell_length_b 9.365
_cell_length_c 6.909
_cell_angle_alpha 90.00
_cell_angle_beta 132.74
_cell_angle_gamma 90.00
_symmetry_space_group_name_H-M 'C 1 2/m 1'
_symmetry_Int_Tables_number 12
loop_
_symmetry_equiv_pos_as_xyz
'x,y,z'
'-x,-y,-z'
'-x,y,-z'
'x,-y,z'
'x+1/2,y+1/2,z'
'-x+1/2,-y+1/2,-z'
'-x+1/2,y+1/2,-z'
'x+1/2,-y+1/2,z'
loop_
_atom_site_label
_atom_site_type_symbol
_atom_site_fract_x
_atom_site_fract_y
_atom_site_fract_z
Ca1 Ca 0.250 0.250 0.000
Sn1 Sn 0.000 0.000 0.000
Pb1 Pb 0.000 0.000 0.500
Pb2 Pb 0.000 0.500 0.500
Pb3 Pb 0.250 0.250 0.500
```

Record 10
# Ca5Sn2Pb
Simulated powder diffraction line list, Cu Kα X-rays. Input: a DFT-relaxed cell (GGA-PBE, Alexandria).
Neutral-atom scattering factors, no anomalous dispersion.

Principal peaks in the range 2θ = 10–90°, in order of falling intensity:
2θ/deg, intensity, index
19.1, 1000, 1 1 2
29.9, 747, 2 1 3
34.7, 654, 3 1 0
31.8, 449, 2 0 4
38.0, 435, 1 1 6
42.0, 342, 3 1 4
22.9, 243, 0 0 4
59.5, 235, 3 1 8
45.9, 231, 4 0 2
57.4, 222, 4 0 6

Atomic structure:
```
data_Ca5Sn2Pb
_cell_length_a 8.176
_cell_length_b 8.176
_cell_length_c 15.548
_cell_angle_alpha 90.00
_cell_angle_beta 90.00
_cell_angle_gamma 90.00
_symmetry_space_group_name_H-M 'I 4/m c m'
_symmetry_Int_Tables_number 140
_symmetry_space_group_name_Hall '-I 4 2c'
loop_
_atom_site_label
_atom_site_type_symbol
_atom_site_fract_x
_atom_site_fract_y
_atom_site_fract_z
Ca1 Ca 0.000 0.000 0.000
Ca2 Ca 0.174 0.326 0.142
Sn1 Sn 0.126 0.374 0.500
Pb1 Pb 0.000 0.000 0.250
```

Record 11
# Ca3SnPb3
Simulated powder diffraction line list, Cu Kα X-rays. Input: a DFT-relaxed cell (GGA-PBE, Alexandria).
Neutral-atom scattering factors, no anomalous dispersion.

Principal peaks in the range 2θ = 10–90°, in order of falling intensity:
2θ/deg, intensity, index
35.0, 1000, 3 1 2
22.7, 732, 2 1 1
29.4, 684, 3 0 1
59.4, 362, 5 2 3
48.4, 334, 5 1 0
30.9, 294, 3 1 1
46.4, 187, 4 2 2
26.3, 185, 2 2 0
43.2, 149, 4 2 1
33.7, 141, 3 2 0

Atomic structure:
```
data_Ca3SnPb3
_cell_length_a 9.596
_cell_length_b 9.596
_cell_length_c 9.596
_cell_angle_alpha 90.00
_cell_angle_beta 90.00
_cell_angle_gamma 90.00
_symmetry_space_group_name_H-M 'P 21 3'
_symmetry_Int_Tables_number 198
_symmetry_space_group_name_Hall 'P 2ac 2ab 3'
loop_
_atom_site_label
_atom_site_type_symbol
_atom_site_fract_x
_atom_site_fract_y
_atom_site_fract_z
Ca1 Ca 0.037 0.303 0.871
Sn1 Sn 0.132 0.632 0.868
Pb1 Pb 0.050 0.450 0.550
Pb2 Pb 0.151 0.849 0.349
Pb3 Pb 0.174 0.174 0.174
```

Record 12
# Sr4CaPb5
Simulated powder diffraction line list, Cu Kα X-rays. Input: a DFT-relaxed cell (GGA-PBE, Alexandria).
Neutral-atom scattering factors, no anomalous dispersion.

Principal peaks in the range 2θ = 10–90°, in order of falling intensity:
2θ/deg, intensity, index
30.5, 1000, 1 0 5
31.7, 491, 1 1 0
55.8, 371, 2 1 5
22.3, 220, 1 0 0
45.5, 184, 2 0 0
53.4, 162, 1 1 10
20.6, 115, 0 0 5
38.1, 104, 1 1 5
63.5, 97, 2 0 10
75.4, 85, 3 1 0

Atomic structure:
```
data_Sr4CaPb5
_cell_length_a 3.989
_cell_length_b 3.989
_cell_length_c 21.590
_cell_angle_alpha 90.00
_cell_angle_beta 90.00
_cell_angle_gamma 90.00
_symmetry_space_group_name_H-M 'P 4/m m m'
_symmetry_Int_Tables_number 123
_symmetry_space_group_name_Hall '-P 4 2'
loop_
_atom_site_label
_atom_site_type_symbol
_atom_site_fract_x
_atom_site_fract_y
_atom_site_fract_z
Sr1 Sr 0.000 0.000 0.104
Sr2 Sr 0.000 0.000 0.309
Ca1 Ca 0.000 0.000 0.500
Pb1 Pb 0.500 0.500 0.000
Pb2 Pb 0.500 0.500 0.209
Pb3 Pb 0.500 0.500 0.413
```